# 1
# Cs2CaP2O7
Theoretical powder diffraction line list, Cu Kα. Input: a GGA-PBE-relaxed structure.
No peak broadening, texture or thermal motion is included.

a = 6.008 Å, b = 6.008 Å, c = 7.496 Å
α = 113.66°, β = 113.66°, γ = 60.05°
Fractional positions:
Cs: 0.000 0.000 0.000
Cs: 0.559 0.559 0.671
Ca: 0.780 0.780 0.335
P: 0.202 0.202 0.592
P: 0.363 0.363 0.079
O: 0.035 0.462 0.525
O: 0.043 0.043 0.551
O: 0.091 0.519 0.127
O: 0.304 0.304 0.836
O: 0.462 0.035 0.525
O: 0.519 0.091 0.127
O: 0.528 0.528 0.158

Largest 10 diffraction maxima, most intense first, 15° ≤ 2θ ≤ 90°:
2θ = 29.73°, intensity 100
2θ = 28.20°, intensity 92
2θ = 24.74°, intensity 44
2θ = 39.05°, intensity 35
2θ = 51.25°, intensity 33
2θ = 19.24°, intensity 30
2θ = 35.66°, intensity 29
2θ = 51.83°, intensity 23
2θ = 41.44°, intensity 18
2θ = 52.77°, intensity 18

=====

# 2
# Sr2FeH6
Theoretical powder diffraction line list, Cu Kα. Input: a GGA-PBE-relaxed structure.
No peak broadening, texture or thermal motion is included.

a = 5.269 Å, b = 5.269 Å, c = 5.269 Å
α = 60.00°, β = 60.00°, γ = 60.00°
Fractional positions:
Sr: 0.250 0.250 0.250
Sr: 0.750 0.750 0.750
Fe: 0.000 0.000 0.000
H: 0.217 0.217 0.783
H: 0.217 0.783 0.217
H: 0.217 0.783 0.783
H: 0.783 0.217 0.217
H: 0.783 0.217 0.783
H: 0.783 0.783 0.217

Largest 10 diffraction maxima, most intense first, 15° ≤ 2θ ≤ 90°:
2θ = 34.03°, intensity 100
2θ = 60.91°, intensity 36
2θ = 23.88°, intensity 29
2θ = 48.89°, intensity 19
2θ = 20.65°, intensity 17
2θ = 81.73°, intensity 15
2θ = 55.12°, intensity 13
2θ = 71.64°, intensity 11
2θ = 42.00°, intensity 11
2θ = 40.13°, intensity 8